# 1
For Li7Mn5O12, a cell relaxed with PBE+U gives the simulated powder diffractogram in this record (Cu Ka).
Intensities are scaled so that the largest is 100.

Main lines, low angle first (2θ from 15° to 90°):
Position (°2θ)	d/Å	intensity
18.3	4.853	100
35.2	2.547	27
36.2	2.478	12
37.1	2.425	9
42.7	2.117	61
44.1	2.053	28
47.3	1.921	8
61.8	1.502	8
62.2	1.493	8
63.3	1.469	8

Cell and atoms:
```
Li7Mn5O12
1.0
5.1701 0.0000 0.0000
-1.7509 5.7469 0.0000
-1.5101 -2.0010 14.8696
Li Mn O
14 10 24
Direct
0.0000 0.0000 0.0000
0.0012 0.5156 0.9958
0.1561 0.3492 0.1689
0.1606 0.8389 0.1654
0.3292 0.6794 0.3381
0.3455 0.1937 0.3409
0.4128 0.8350 0.9192
0.4949 0.0066 0.4948
0.5050 0.5134 0.5023
0.6586 0.8383 0.6672
0.6622 0.3484 0.6666
0.8332 0.1729 0.8377
0.8446 0.6898 0.8402
0.9165 0.3483 0.4188
0.0768 0.6767 0.5839
0.0812 0.1818 0.5825
0.2494 0.0074 0.7532
0.2634 0.5157 0.7534
0.4176 0.3344 0.9172
0.5712 0.1740 0.0815
0.5767 0.6800 0.0818
0.7494 0.5202 0.2527
0.7549 0.0272 0.2526
0.9086 0.8440 0.4182
0.0268 0.8241 0.2981
0.1428 0.0252 0.8713
0.1553 0.4901 0.8726
0.1703 0.6910 0.4630
0.1822 0.1517 0.4602
0.2982 0.3196 0.0338
0.3028 0.8227 0.0475
0.3360 0.0050 0.6282
0.3816 0.5161 0.6349
0.4713 0.2206 0.2077
0.4986 0.6968 0.2105
0.5026 0.8446 0.7872
0.5285 0.3125 0.7972
0.6381 0.5346 0.3715
0.6520 0.0042 0.3718
0.6805 0.1846 0.9621
0.6829 0.6433 0.9579
0.7757 0.8423 0.5313
0.8283 0.3573 0.5517
0.8533 0.0362 0.1289
0.8530 0.5366 0.1329
0.9749 0.7093 0.7100
0.9989 0.1846 0.7096
0.9988 0.3511 0.2870
```

# 2
For Sr2Ca6FeCo7O24, a cell relaxed with PBE+U gives the simulated powder diffractogram in this record (Cu Ka).
Intensities are scaled so that the largest is 100.

Main lines, low angle first (2θ from 15° to 90°):
Position (°2θ)	d/Å	intensity
33.2	2.699	100
33.3	2.690	20
47.5	1.915	18
47.8	1.904	36
59.2	1.561	14
59.4	1.556	28
69.6	1.350	20
69.9	1.346	10
79.6	1.204	12
88.9	1.101	10

Cell and atoms:
```
Sr2Ca6FeCo7O24
1.0
7.6604 0.0000 0.0000
0.0000 5.3872 5.3807
0.0000 -5.3872 5.3807
Sr Ca Fe Co O
2 6 1 7 24
Direct
0.2494 0.0000 0.0000
0.7506 0.0000 0.0000
0.2499 0.0002 0.4944
0.2499 0.4944 0.0002
0.2495 0.4936 0.4936
0.7501 0.0002 0.4944
0.7501 0.4944 0.0002
0.7505 0.4936 0.4936
0.5000 0.7461 0.7461
0.0000 0.2483 0.7458
0.0000 0.2489 0.2489
0.0000 0.7452 0.7452
0.0000 0.7458 0.2483
0.5000 0.2483 0.2483
0.5000 0.2488 0.7452
0.5000 0.7452 0.2488
0.0000 0.0036 0.2524
0.0000 0.0053 0.7407
0.0000 0.2494 0.4915
0.0000 0.2524 0.0036
0.0000 0.4894 0.7463
0.0000 0.4915 0.2494
0.0000 0.7407 0.0053
0.0000 0.7463 0.4894
0.2351 0.7440 0.7440
0.2490 0.2512 0.2512
0.2551 0.2511 0.7432
0.2551 0.7432 0.2511
0.5000 0.2483 0.5003
0.5000 0.2536 0.9936
0.5000 0.4952 0.7453
0.5000 0.5003 0.2483
0.5000 0.7412 0.9989
0.5000 0.7453 0.4952
0.5000 0.9936 0.2536
0.5000 0.9989 0.7412
0.7449 0.2511 0.7432
0.7449 0.7432 0.2511
0.7510 0.2512 0.2512
0.7649 0.7440 0.7440
```

# 3
For MnPH2CO6, a cell relaxed with PBE+U gives the simulated powder diffractogram in this record (Cu Ka).
Intensities are scaled so that the largest is 100.

Main lines, low angle first (2θ from 15° to 90°):
Position (°2θ)	d/Å	intensity
19.4	4.572	52
25.5	3.491	100
27.9	3.201	66
29.1	3.071	27
32.5	2.755	23
33.6	2.670	36
34.8	2.578	74
39.4	2.286	28
48.0	1.895	18
54.0	1.698	20

Cell and atoms:
```
MnPH2CO6
1.0
3.0612 -7.6483 0.0000
3.0612 7.6483 0.0000
-2.0215 0.0000 5.1528
Mn P H C O
2 2 4 2 12
Direct
0.1920 0.8080 0.0000
0.8080 0.1920 0.0000
0.3294 0.6706 0.5000
0.6706 0.3294 0.5000
0.1796 0.3693 0.6747
0.3693 0.1796 0.6747
0.6307 0.8204 0.3253
0.8204 0.6307 0.3253
0.0969 0.0969 0.9409
0.9031 0.9031 0.0591
0.0948 0.2428 0.8982
0.1671 0.6135 0.2485
0.1841 0.4043 0.5067
0.2428 0.0948 0.8982
0.3865 0.8329 0.7515
0.4043 0.1841 0.5067
0.5957 0.8159 0.4933
0.6135 0.1671 0.2485
0.7572 0.9052 0.1018
0.8159 0.5957 0.4933
0.8329 0.3865 0.7515
0.9052 0.7572 0.1018
```

# 4
For SrCa7Mn7FeO24, a cell relaxed with PBE+U gives the simulated powder diffractogram in this record (Cu Ka).
Intensities are scaled so that the largest is 100.

Main lines, low angle first (2θ from 15° to 90°):
Position (°2θ)	d/Å	intensity
16.4	5.408	2
23.3	3.824	11
33.1	2.704	100
40.9	2.208	7
47.6	1.912	50
53.6	1.710	3
59.2	1.561	35
69.5	1.352	26
79.2	1.209	14
88.6	1.104	9

Cell and atoms:
```
SrCa7Mn7FeO24
1.0
5.4077 3.1221 4.4152
-5.4077 3.1221 4.4152
0.0000 -6.2442 4.4152
Sr Ca Mn Fe O
1 7 7 1 24
Direct
0.0000 0.0000 0.0000
0.9999 0.9999 0.4998
0.9999 0.4998 0.9999
0.0000 0.4998 0.4998
0.4998 0.9999 0.9999
0.4998 0.0000 0.4998
0.4998 0.4998 0.0000
0.4997 0.4997 0.4997
0.2504 0.2504 0.7493
0.2504 0.7493 0.2504
0.2505 0.7493 0.7493
0.7493 0.2504 0.2504
0.7493 0.2505 0.7493
0.7493 0.7493 0.2505
0.7494 0.7494 0.7494
0.2504 0.2504 0.2504
0.9997 0.7471 0.7471
0.2504 0.2504 0.5028
0.2503 0.5004 0.7495
0.2504 0.5028 0.2504
0.2503 0.7495 0.5004
0.2525 0.2525 0.9969
0.2527 0.7471 0.9993
0.2525 0.9969 0.2525
0.2527 0.9993 0.7471
0.5004 0.2503 0.7495
0.5004 0.7495 0.2503
0.5001 0.7495 0.7495
0.5028 0.2504 0.2504
0.7471 0.9997 0.7471
0.7471 0.2527 0.9993
0.7471 0.7471 0.9997
0.7471 0.9993 0.2527
0.7495 0.2503 0.5004
0.7495 0.5004 0.2503
0.7495 0.5001 0.7495
0.7495 0.7495 0.5001
0.9969 0.2525 0.2525
0.9993 0.2527 0.7471
0.9993 0.7471 0.2527
```

# 5
For Li2MnVP3O12, a cell relaxed with PBE+U gives the simulated powder diffractogram in this record (Cu Ka).
Intensities are scaled so that the largest is 100.

Main lines, low angle first (2θ from 15° to 90°):
Position (°2θ)	d/Å	intensity
19.4	4.570	70
19.8	4.473	57
20.2	4.392	74
23.4	3.802	64
24.4	3.643	62
24.6	3.625	55
24.7	3.608	54
28.3	3.156	64
29.6	3.022	100
32.4	2.762	64

Cell and atoms:
```
Li2MnVP3O12
1.0
8.3314 0.0000 0.0000
3.9785 7.3631 0.0000
0.0001 4.5440 7.5669
Li Mn V P O
4 2 2 6 24
Direct
0.0000 0.0000 0.0000
0.1518 0.0173 0.5010
0.4047 0.2357 0.9992
0.6583 0.5717 0.9960
0.0761 0.4831 0.1823
0.3916 0.8643 0.0886
0.5884 0.4661 0.6897
0.8726 0.8847 0.5643
0.1959 0.6763 0.3814
0.2697 0.6710 0.8846
0.4857 0.9569 0.3856
0.6982 0.9660 0.8841
0.7738 0.3846 0.3760
0.9807 0.3984 0.8788
0.0030 0.7966 0.4143
0.1239 0.8003 0.7042
0.1856 0.2221 0.9257
0.2067 0.8590 0.2266
0.2101 0.5170 0.3346
0.2477 0.4917 0.0253
0.2477 0.8325 0.9366
0.2837 0.1306 0.3543
0.3524 0.5584 0.5521
0.4730 0.5557 0.8640
0.5087 0.9318 0.2195
0.5338 0.7510 0.5568
0.5682 0.8761 0.9322
0.5919 0.1949 0.8514
0.5955 0.5265 0.2223
0.6328 0.0137 0.4049
0.7215 0.3865 0.5468
0.7409 0.9747 0.7090
0.8425 0.3251 0.8605
0.8752 0.1513 0.4248
0.8881 0.8330 0.0239
0.9192 0.4514 0.3445
0.9222 0.6030 0.7056
0.9345 0.4506 0.0298
```

# 6
For Li7NiO4F2, a cell relaxed with PBE+U gives the simulated powder diffractogram in this record (Cu Ka).
Intensities are scaled so that the largest is 100.

Main lines, low angle first (2θ from 15° to 90°):
Position (°2θ)	d/Å	intensity
17.6	5.027	100
18.3	4.857	79
19.9	4.456	87
20.1	4.415	87
21.0	4.233	71
22.0	4.049	64
23.0	3.870	62
28.7	3.115	48
34.2	2.625	94
39.5	2.283	49

Cell and atoms:
```
Li7NiO4F2
1.0
5.7301 0.0000 0.0000
1.2586 9.6623 0.0000
2.5912 0.5140 9.7146
Li Ni O F
28 4 16 8
Direct
0.0000 0.0000 0.0000
0.0124 0.7830 0.7167
0.0826 0.0699 0.2973
0.1183 0.0310 0.6101
0.1299 0.3140 0.2485
0.1492 0.2787 0.6061
0.1977 0.2842 0.9331
0.2160 0.7517 0.1455
0.2543 0.5264 0.5336
0.3142 0.7911 0.8354
0.3565 0.7933 0.4765
0.3657 0.0305 0.7672
0.4466 0.0703 0.0758
0.4669 0.0415 0.3860
0.4774 0.4953 0.0101
0.5088 0.2804 0.7215
0.5781 0.5731 0.2983
0.6317 0.5306 0.6075
0.6324 0.8202 0.2441
0.6446 0.7825 0.6100
0.7100 0.7849 0.9383
0.7209 0.2488 0.1454
0.7564 0.0316 0.5294
0.8266 0.3011 0.8224
0.8504 0.5435 0.7821
0.8542 0.2946 0.4787
0.9437 0.5659 0.0805
0.9746 0.5416 0.3802
0.2669 0.5409 0.7964
0.4940 0.3057 0.3663
0.7633 0.0424 0.8079
0.9908 0.8062 0.3675
0.0759 0.9496 0.7972
0.0967 0.9411 0.4591
0.1404 0.3898 0.7518
0.1704 0.3794 0.4263
0.3050 0.7174 0.3209
0.3600 0.6778 0.6502
0.4026 0.1798 0.2513
0.4659 0.1420 0.8807
0.5720 0.4533 0.8093
0.5986 0.4407 0.4585
0.6424 0.8842 0.7644
0.6695 0.8803 0.4277
0.8082 0.2146 0.3234
0.8547 0.1821 0.6593
0.8984 0.6818 0.2512
0.9941 0.6478 0.8913
0.1707 0.9644 0.1339
0.1843 0.4095 0.0735
0.4030 0.1211 0.5820
0.4235 0.6936 0.9867
0.6646 0.4613 0.1370
0.6991 0.9206 0.0678
0.9024 0.6256 0.5899
0.9050 0.1948 0.9765
```

# 7
For Li3Fe2P2C2O14, a cell relaxed with PBE+U gives the simulated powder diffractogram in this record (Cu Ka).
Intensities are scaled so that the largest is 100.

Main lines, low angle first (2θ from 15° to 90°):
Position (°2θ)	d/Å	intensity
17.3	5.112	39
19.4	4.572	53
21.2	4.182	76
25.4	3.511	26
26.2	3.405	35
27.6	3.233	100
35.1	2.557	38
35.6	2.519	21
40.9	2.207	22
45.7	1.985	20

Cell and atoms:
```
Li3Fe2P2C2O14
1.0
8.2570 0.0000 0.0000
-1.8585 8.0590 0.0000
-0.5268 -0.6509 8.3460
Li Fe P C O
6 4 4 4 28
Direct
0.0000 0.0000 0.0000
0.0194 0.5186 0.7932
0.3651 0.1639 0.1801
0.4984 0.5041 0.9958
0.5212 0.0277 0.7824
0.8762 0.1600 0.6119
0.2326 0.7323 0.2279
0.2910 0.2913 0.5691
0.7433 0.2409 0.2171
0.7875 0.7835 0.5515
0.0056 0.5032 0.4729
0.0251 0.0238 0.3141
0.4990 0.0059 0.4662
0.5168 0.5227 0.3112
0.2365 0.2283 0.8553
0.2873 0.7939 0.9440
0.7331 0.7437 0.8454
0.7881 0.2821 0.9278
0.0731 0.8848 0.2078
0.0755 0.5695 0.3190
0.1325 0.4459 0.5879
0.1368 0.1609 0.7296
0.1682 0.6681 0.9696
0.1846 0.1649 0.3608
0.2130 0.1758 0.9930
0.3334 0.8355 0.8098
0.3588 0.8497 0.4164
0.3611 0.3486 0.8250
0.3650 0.8828 0.0732
0.3911 0.5840 0.1980
0.4344 0.1237 0.5855
0.4450 0.4536 0.4636
0.5573 0.0914 0.3142
0.5645 0.3857 0.1976
0.6441 0.9605 0.5699
0.6509 0.6607 0.7163
0.6657 0.1614 0.9619
0.6705 0.6677 0.3608
0.6895 0.7010 0.9801
0.8327 0.3062 0.7873
0.8565 0.8658 0.8191
0.8609 0.3479 0.4201
0.8661 0.3780 0.0509
0.8979 0.0836 0.2005
0.9451 0.6343 0.5801
0.9492 0.9671 0.4713
```